# NpCl3F
Calculated powder diffractogram, copper Kα. Input: DFT lattice parameters and positions (PBE).
Peak positions follow from Bragg's law for the DFT cell and can differ from measured ones.

Largest 12 diffraction maxima, in order of falling intensity, 2θ = 5–70°:
| two_theta | intensity |
| --- | --- |
| 14.27 | 100 |
| 25.95 | 35 |
| 30.25 | 34 |
| 19.49 | 23 |
| 39.93 | 21 |
| 36.24 | 18 |
| 20.96 | 17 |
| 21.56 | 14 |
| 31.29 | 14 |
| 50.61 | 12 |
| 38.32 | 12 |
| 46.43 | 11 |

Structure:
```
NpCl3F
1.0
8.476 0.000 0.000
0.000 4.122 0.000
0.000 0.000 9.109
Np Cl F
2 6 2
Direct
0.250 0.000 0.230 Np
0.750 0.000 0.770 Np
0.042 0.500 0.227 Cl
0.250 0.000 0.504 Cl
0.458 0.500 0.227 Cl
0.542 0.500 0.773 Cl
0.750 0.000 0.496 Cl
0.958 0.500 0.773 Cl
0.250 0.000 0.009 F
0.750 0.000 0.991 F
```

# ClO8F6
Calculated powder diffractogram, copper Kα. Input: DFT lattice parameters and positions (PBE).
Peak positions follow from Bragg's law for the DFT cell and can differ from measured ones.

Largest 12 diffraction maxima, in order of falling intensity, 2θ = 5–70°:
| two_theta | intensity |
| --- | --- |
| 18.83 | 100 |
| 26.72 | 64 |
| 31.46 | 42 |
| 42.92 | 34 |
| 38.19 | 17 |
| 50.34 | 16 |
| 41.74 | 14 |
| 58.78 | 13 |
| 57.81 | 11 |
| 47.26 | 9 |
| 50.22 | 9 |
| 16.29 | 8 |

Structure:
```
ClO8F6
1.0
3.328 1.922 5.457
-3.328 1.922 5.457
0.000 -3.843 5.457
Cl O F
1 8 6
Direct
0.000 0.000 0.000 Cl
0.253 0.598 0.598 O
0.319 0.319 0.319 O
0.402 0.402 0.747 O
0.402 0.747 0.402 O
0.598 0.253 0.598 O
0.598 0.598 0.253 O
0.681 0.681 0.681 O
0.747 0.402 0.402 O
0.068 0.068 0.678 F
0.068 0.678 0.068 F
0.322 0.932 0.932 F
0.678 0.068 0.068 F
0.932 0.322 0.932 F
0.932 0.932 0.322 F
```

# ClO3F6
Calculated powder diffractogram, copper Kα. Input: DFT lattice parameters and positions (PBE).
Peak positions follow from Bragg's law for the DFT cell and can differ from measured ones.

Largest 12 diffraction maxima, in order of falling intensity, 2θ = 5–70°:
| two_theta | intensity |
| --- | --- |
| 16.68 | 100 |
| 25.61 | 55 |
| 19.29 | 42 |
| 38.83 | 32 |
| 40.09 | 20 |
| 52.37 | 15 |
| 36.19 | 14 |
| 21.04 | 14 |
| 55.60 | 13 |
| 49.52 | 10 |
| 42.83 | 7 |
| 52.62 | 7 |

Structure:
```
ClO3F6
1.0
5.314 3.068 3.542
-5.314 3.068 3.542
0.000 -6.136 3.542
Cl O F
2 6 12
Direct
0.000 0.000 0.000 Cl
0.500 0.500 0.500 Cl
0.065 0.065 0.523 O
0.065 0.523 0.065 O
0.477 0.935 0.935 O
0.523 0.065 0.065 O
0.935 0.477 0.935 O
0.935 0.935 0.477 O
0.063 0.822 0.822 F
0.178 0.178 0.937 F
0.178 0.937 0.178 F
0.250 0.483 0.483 F
0.483 0.250 0.483 F
0.483 0.483 0.250 F
0.517 0.517 0.750 F
0.517 0.750 0.517 F
0.750 0.517 0.517 F
0.822 0.063 0.822 F
0.822 0.822 0.063 F
0.937 0.178 0.178 F
```

# TiPb2Se2ClO7F
Calculated powder diffractogram, copper Kα. Input: DFT lattice parameters and positions (PBE).
Peak positions follow from Bragg's law for the DFT cell and can differ from measured ones.

Largest 12 diffraction maxima, in order of falling intensity, 2θ = 5–70°:
| two_theta | intensity |
| --- | --- |
| 27.88 | 100 |
| 23.46 | 70 |
| 11.31 | 65 |
| 32.09 | 65 |
| 23.29 | 65 |
| 32.84 | 49 |
| 29.19 | 48 |
| 26.25 | 37 |
| 42.51 | 30 |
| 46.40 | 23 |
| 24.35 | 21 |
| 43.31 | 20 |

Structure:
```
TiPb2Se2ClO7F
1.0
8.523 0.000 0.000
0.000 5.454 0.000
-4.115 0.000 10.184
Ti Pb Se Cl O F
2 4 4 2 14 2
Direct
0.150 0.000 0.044 Ti
0.850 0.500 0.956 Ti
0.202 0.004 0.499 Pb
0.337 0.546 0.809 Pb
0.663 0.046 0.191 Pb
0.798 0.504 0.501 Pb
0.010 0.996 0.724 Se
0.371 0.503 0.190 Se
0.629 0.003 0.810 Se
0.990 0.496 0.276 Se
0.362 0.484 0.546 Cl
0.638 0.984 0.454 Cl
0.027 0.707 0.036 O
0.059 0.771 0.631 O
0.082 0.247 0.665 O
0.176 0.928 0.873 O
0.331 0.282 0.066 O
0.377 0.776 0.109 O
0.415 0.950 0.733 O
0.585 0.450 0.267 O
0.623 0.276 0.891 O
0.669 0.782 0.934 O
0.824 0.428 0.127 O
0.918 0.747 0.335 O
0.941 0.271 0.369 O
0.973 0.207 0.964 O
0.179 0.063 0.222 F
0.821 0.563 0.778 F
```

# Rb7ClO2F2
Calculated powder diffractogram, copper Kα. Input: DFT lattice parameters and positions (PBE).
Peak positions follow from Bragg's law for the DFT cell and can differ from measured ones.

Largest 12 diffraction maxima, in order of falling intensity, 2θ = 5–70°:
| two_theta | intensity |
| --- | --- |
| 27.20 | 100 |
| 45.12 | 35 |
| 31.52 | 29 |
| 31.39 | 27 |
| 31.62 | 25 |
| 45.25 | 18 |
| 56.11 | 17 |
| 53.53 | 15 |
| 53.37 | 13 |
| 53.66 | 11 |
| 16.06 | 10 |
| 7.81 | 6 |

Structure:
```
Rb7ClO2F2
1.0
-2.839 11.319 2.850
2.839 -11.319 2.850
2.839 11.319 -2.850
Rb Cl O F
7 1 2 2
Direct
0.000 0.000 0.000 Rb
0.068 0.448 0.621 Rb
0.182 0.946 0.236 Rb
0.328 0.449 0.878 Rb
0.571 0.449 0.122 Rb
0.710 0.946 0.764 Rb
0.827 0.448 0.379 Rb
0.386 0.886 0.500 Cl
0.056 0.937 0.119 O
0.818 0.937 0.881 O
0.196 0.446 0.750 F
0.696 0.446 0.250 F
```

# Rb6Cl2OF2
Calculated powder diffractogram, copper Kα. Input: DFT lattice parameters and positions (PBE).
Peak positions follow from Bragg's law for the DFT cell and can differ from measured ones.

Largest 12 diffraction maxima, in order of falling intensity, 2θ = 5–70°:
| two_theta | intensity |
| --- | --- |
| 29.02 | 100 |
| 25.51 | 77 |
| 42.71 | 55 |
| 28.80 | 48 |
| 11.63 | 26 |
| 39.95 | 23 |
| 50.45 | 21 |
| 31.22 | 19 |
| 23.39 | 18 |
| 36.99 | 16 |
| 52.35 | 16 |
| 35.40 | 16 |

Structure:
```
Rb6Cl2OF2
1.0
3.670 -6.348 0.000
3.670 6.348 0.000
-2.522 0.000 7.607
Rb Cl O F
6 2 1 2
Direct
0.056 0.388 0.199 Rb
0.241 0.241 0.805 Rb
0.388 0.056 0.199 Rb
0.612 0.944 0.801 Rb
0.759 0.759 0.195 Rb
0.944 0.612 0.801 Rb
0.170 0.830 0.500 Cl
0.830 0.170 0.500 Cl
0.000 0.000 0.000 O
0.334 0.666 0.000 F
0.666 0.334 0.000 F
```

# Sb3Cl9OF4
Calculated powder diffractogram, copper Kα. Input: DFT lattice parameters and positions (PBE).
Peak positions follow from Bragg's law for the DFT cell and can differ from measured ones.

Largest 12 diffraction maxima, in order of falling intensity, 2θ = 5–70°:
| two_theta | intensity |
| --- | --- |
| 14.65 | 100 |
| 19.21 | 65 |
| 13.61 | 61 |
| 13.72 | 42 |
| 10.82 | 39 |
| 12.67 | 39 |
| 15.34 | 32 |
| 22.84 | 25 |
| 11.12 | 23 |
| 27.63 | 22 |
| 21.74 | 18 |
| 26.85 | 17 |

Structure:
```
Sb3Cl9OF4
1.0
7.221 0.000 0.000
-2.503 9.881 0.000
-1.081 -0.405 13.971
Sb Cl O F
6 18 2 8
Direct
0.107 0.143 0.308 Sb
0.300 0.554 0.288 Sb
0.312 0.237 0.111 Sb
0.688 0.763 0.889 Sb
0.700 0.446 0.712 Sb
0.893 0.857 0.692 Sb
0.011 0.914 0.266 Cl
0.173 0.326 0.980 Cl
0.195 0.836 0.658 Cl
0.210 0.644 0.425 Cl
0.253 0.133 0.459 Cl
0.259 0.019 0.045 Cl
0.365 0.688 0.910 Cl
0.409 0.478 0.646 Cl
0.433 0.750 0.208 Cl
0.567 0.250 0.792 Cl
0.591 0.522 0.354 Cl
0.635 0.312 0.090 Cl
0.741 0.981 0.955 Cl
0.747 0.867 0.541 Cl
0.790 0.356 0.575 Cl
0.805 0.164 0.342 Cl
0.827 0.674 0.020 Cl
0.989 0.086 0.734 Cl
0.350 0.188 0.246 O
0.650 0.812 0.754 O
0.032 0.198 0.164 F
0.053 0.536 0.222 F
0.173 0.362 0.334 F
0.335 0.438 0.171 F
0.665 0.562 0.829 F
0.827 0.638 0.666 F
0.947 0.464 0.778 F
0.968 0.802 0.836 F
```

# OsCl2F8
Calculated powder diffractogram, copper Kα. Input: DFT lattice parameters and positions (PBE).
Peak positions follow from Bragg's law for the DFT cell and can differ from measured ones.

Largest 12 diffraction maxima, in order of falling intensity, 2θ = 5–70°:
| two_theta | intensity |
| --- | --- |
| 15.87 | 100 |
| 23.82 | 77 |
| 22.00 | 62 |
| 19.98 | 59 |
| 14.46 | 49 |
| 26.04 | 40 |
| 35.01 | 32 |
| 58.91 | 25 |
| 28.45 | 23 |
| 33.25 | 18 |
| 16.45 | 18 |
| 39.46 | 17 |

Structure:
```
OsCl2F8
1.0
6.219 -3.137 0.000
6.219 3.137 0.000
-0.945 0.000 5.389
Os Cl F
1 2 8
Direct
0.000 0.000 0.000 Os
0.267 0.267 0.480 Cl
0.733 0.733 0.520 Cl
0.080 0.080 0.333 F
0.118 0.695 0.086 F
0.305 0.882 0.914 F
0.399 0.399 0.593 F
0.601 0.601 0.407 F
0.695 0.118 0.086 F
0.882 0.305 0.914 F
0.920 0.920 0.667 F
```

# SbPCl4F6
Calculated powder diffractogram, copper Kα. Input: DFT lattice parameters and positions (PBE).
Peak positions follow from Bragg's law for the DFT cell and can differ from measured ones.

Largest 12 diffraction maxima, in order of falling intensity, 2θ = 5–70°:
| two_theta | intensity |
| --- | --- |
| 19.33 | 100 |
| 20.01 | 95 |
| 26.06 | 81 |
| 16.52 | 56 |
| 28.35 | 51 |
| 31.88 | 40 |
| 40.62 | 38 |
| 14.11 | 31 |
| 62.46 | 20 |
| 44.17 | 19 |
| 45.69 | 19 |
| 42.78 | 19 |

Structure:
```
SbPCl4F6
1.0
8.876 0.000 0.000
0.000 8.876 0.000
0.000 0.000 6.735
Sb P Cl F
2 2 8 12
Direct
0.250 0.250 0.146 Sb
0.750 0.750 0.854 Sb
0.250 0.750 0.500 P
0.750 0.250 0.500 P
0.074 0.715 0.332 Cl
0.215 0.926 0.668 Cl
0.285 0.574 0.668 Cl
0.426 0.785 0.332 Cl
0.574 0.215 0.668 Cl
0.715 0.426 0.332 Cl
0.785 0.074 0.332 Cl
0.926 0.285 0.668 Cl
0.044 0.316 0.145 F
0.184 0.044 0.145 F
0.250 0.250 0.430 F
0.250 0.250 0.859 F
0.316 0.456 0.145 F
0.456 0.184 0.145 F
0.544 0.816 0.855 F
0.684 0.544 0.855 F
0.750 0.750 0.141 F
0.750 0.750 0.570 F
0.816 0.956 0.855 F
0.956 0.684 0.855 F
```